This entry pairs a crystal structure of DyHoIn2Te4 with its theoretical PXRD pattern. Radiation: λ = 1.5418 Å (Cu Kα). Structure: a crystal structure in Alexandria, relaxed with PBE.
Intensities are scaled so that the largest is 100.

Largest 6 diffraction maxima, in order of rising 2θ, 2θ from 10° to 90°:
Position (°2θ)  I (rel.)
27.60  100
37.83  39
40.99  36
50.13  19
62.23  15
66.68  16

Lattice parameters (Å, degrees): 7.626 4.406 8.501 90.00 107.41 90.00
Fractional coordinates of all 8 atoms:
Dy 0.000 0.000 0.000
Ho 0.500 0.500 0.000
In 0.000 0.500 0.500
In 0.500 0.000 0.500
Te 0.240 0.500 0.219
Te 0.262 0.000 0.782
Te 0.738 0.000 0.218
Te 0.760 0.500 0.781

***

This entry pairs a crystal structure of Dy5HoTmIn2 with its theoretical PXRD pattern. Radiation: λ = 1.5418 Å (Cu Kα). Structure: a crystal structure in Alexandria, relaxed with PBE.
Intensities are scaled so that the largest is 100.

Largest 6 diffraction maxima, in order of rising 2θ, 2θ from 10° to 90°:
Position (°2θ)  I (rel.)
29.67  33
29.90  100
33.26  31
35.15  21
37.32  34
50.84  20

Lattice parameters (Å, degrees): 11.041 11.041 11.041 139.63 139.63 58.42
Fractional coordinates of all 18 atoms:
Dy 0.000 0.000 0.000
Dy 0.077 0.577 0.904
Dy 0.173 0.077 0.500
Dy 0.327 0.827 0.904
Dy 0.423 0.327 0.500
Dy 0.500 0.500 0.000
Dy 0.577 0.673 0.500
Dy 0.673 0.173 0.096
Dy 0.827 0.923 0.500
Dy 0.923 0.423 0.096
Ho 0.250 0.250 0.000
Ho 0.750 0.750 0.000
Tm 0.250 0.750 0.500
Tm 0.750 0.250 0.500
In 0.124 0.376 0.500
In 0.376 0.876 0.253
In 0.624 0.124 0.747
In 0.876 0.624 0.500

***

This entry pairs a crystal structure of DyHoIr2 with its theoretical PXRD pattern. Radiation: λ = 1.5418 Å (Cu Kα). Structure: a crystal structure in Alexandria, relaxed with PBE.
Intensities are scaled so that the largest is 100.

Largest 6 diffraction maxima, in order of rising 2θ, 2θ from 10° to 90°:
Position (°2θ)  I (rel.)
36.58  54
37.53  100
52.70  19
66.48  38
68.32  18
80.08  11

Lattice parameters (Å, degrees): 4.913 3.311 9.824 90.00 90.00 90.00
Fractional coordinates of all 8 atoms:
Dy 0.250 0.000 0.125
Dy 0.750 0.000 0.875
Ho 0.250 0.000 0.625
Ho 0.750 0.000 0.375
Ir 0.250 0.500 0.376
Ir 0.250 0.500 0.874
Ir 0.750 0.500 0.126
Ir 0.750 0.500 0.624

***

This entry pairs a crystal structure of Dy2HoIr with its theoretical PXRD pattern. Radiation: λ = 1.5418 Å (Cu Kα). Structure: a crystal structure in Alexandria, relaxed with PBE.
Intensities are scaled so that the largest is 100.

Largest 6 diffraction maxima, in order of rising 2θ, 2θ from 10° to 90°:
Position (°2θ)  I (rel.)
31.13  56
32.05  35
33.06  59
33.57  100
35.80  28
38.34  52

Lattice parameters (Å, degrees): 6.318 6.318 9.105 90.00 90.00 144.10
Fractional coordinates of all 8 atoms:
Dy 0.141 0.859 0.566
Dy 0.141 0.859 0.934
Dy 0.859 0.141 0.066
Dy 0.859 0.141 0.434
Ho 0.425 0.575 0.750
Ho 0.575 0.425 0.250
Ir 0.247 0.753 0.250
Ir 0.753 0.247 0.750

***

This entry pairs a crystal structure of Dy3HoIr3 with its theoretical PXRD pattern. Radiation: λ = 1.5418 Å (Cu Kα). Structure: a crystal structure in Alexandria, relaxed with PBE.
Intensities are scaled so that the largest is 100.

Largest 6 diffraction maxima, in order of rising 2θ, 2θ from 10° to 90°:
Position (°2θ)  I (rel.)
18.38  14
32.12  7
37.26  100
53.71  18
67.07  9
67.23  27

Lattice parameters (Å, degrees): 5.908 5.908 5.908 109.42 109.42 109.42
Fractional coordinates of all 7 atoms:
Dy 0.000 0.500 0.500
Dy 0.500 0.000 0.500
Dy 0.500 0.500 0.000
Ho 0.000 0.000 0.000
Ir 0.000 0.000 0.500
Ir 0.000 0.500 0.000
Ir 0.500 0.000 0.000

***

This entry pairs a crystal structure of K3DyHo2Se6 with its theoretical PXRD pattern. Radiation: λ = 1.5418 Å (Cu Kα). Structure: a crystal structure in Alexandria, relaxed with PBE.
Intensities are scaled so that the largest is 100.

Largest 6 diffraction maxima, in order of rising 2θ, 2θ from 10° to 90°:
Position (°2θ)  I (rel.)
11.52  61
29.03  100
36.82  21
39.92  34
43.06  36
52.77  18

Lattice parameters (Å, degrees): 7.277 7.277 8.055 98.66 98.66 120.00
Fractional coordinates of all 12 atoms:
K 0.000 0.000 0.000
K 0.333 0.667 0.000
K 0.667 0.333 0.000
Dy 0.500 0.500 0.500
Ho 0.167 0.833 0.500
Ho 0.833 0.167 0.500
Se 0.098 0.432 0.295
Se 0.234 0.234 0.705
Se 0.432 0.098 0.295
Se 0.568 0.902 0.705
Se 0.766 0.766 0.295
Se 0.902 0.568 0.705

***

Repeat the second record exactly.
This entry pairs a crystal structure of Dy5HoTmIn2 with its theoretical PXRD pattern. Radiation: λ = 1.5418 Å (Cu Kα). Structure: a crystal structure in Alexandria, relaxed with PBE.
Intensities are scaled so that the largest is 100.

Largest 6 diffraction maxima, in order of rising 2θ, 2θ from 10° to 90°:
Position (°2θ)  I (rel.)
29.67  33
29.90  100
33.26  31
35.15  21
37.32  34
50.84  20

Lattice parameters (Å, degrees): 11.041 11.041 11.041 139.63 139.63 58.42
Fractional coordinates of all 18 atoms:
Dy 0.000 0.000 0.000
Dy 0.077 0.577 0.904
Dy 0.173 0.077 0.500
Dy 0.327 0.827 0.904
Dy 0.423 0.327 0.500
Dy 0.500 0.500 0.000
Dy 0.577 0.673 0.500
Dy 0.673 0.173 0.096
Dy 0.827 0.923 0.500
Dy 0.923 0.423 0.096
Ho 0.250 0.250 0.000
Ho 0.750 0.750 0.000
Tm 0.250 0.750 0.500
Tm 0.750 0.250 0.500
In 0.124 0.376 0.500
In 0.376 0.876 0.253
In 0.624 0.124 0.747
In 0.876 0.624 0.500

***

Question: What is the formula in the fourth record?
Answer: Dy2HoIr